Entry 1:
BaCeC2O6F: computed powder diffractogram (Cu Kα X-rays), based on the GGA-PBE geometry in the Materials Project.
Peak positions follow from Bragg's law for the DFT cell and can differ from measured ones.

Atomic structure:
```
data_BaCeC2O6F
_cell_length_a 13.223
_cell_length_b 13.223
_cell_length_c 13.223
_cell_angle_alpha 22.37
_cell_angle_beta 22.37
_cell_angle_gamma 22.37
_space_group_name_H-M_alt 'P 1'
_space_group_IT_number 1
_space_group_name_Hall 'P 1'
loop_
_atom_site_label
_atom_site_fract_x
_atom_site_fract_y
_atom_site_fract_z
_atom_site_occupancy
Ba1 0.000 0.000 0.000 1
Ba2 0.500 0.500 0.500 1
Ce1 0.245 0.245 0.245 1
Ce2 0.755 0.755 0.755 1
C1 0.107 0.107 0.107 1
C2 0.374 0.374 0.374 1
C3 0.626 0.626 0.626 1
C4 0.893 0.893 0.893 1
O1 0.081 0.519 0.519 1
O2 0.185 0.748 0.748 1
O3 0.252 0.252 0.815 1
O4 0.252 0.815 0.252 1
O5 0.481 0.481 0.919 1
O6 0.481 0.919 0.481 1
O7 0.519 0.081 0.519 1
O8 0.519 0.519 0.081 1
O9 0.748 0.185 0.748 1
O10 0.748 0.748 0.185 1
O11 0.815 0.252 0.252 1
O12 0.919 0.481 0.481 1
F1 0.185 0.185 0.185 1
F2 0.815 0.815 0.815 1
```

Peak list (10 most intense, 2θ = 10–80°, by intensity)
| 2theta | d [Å] | I_rel |
| --- | --- | --- |
| 27.26 | 3.271 | 100 |
| 22.02 | 4.037 | 90 |
| 34.97 | 2.565 | 52 |
| 45.18 | 2.007 | 45 |
| 41.71 | 2.165 | 38 |
| 42.59 | 2.123 | 34 |
| 44.90 | 2.019 | 22 |
| 55.54 | 1.655 | 22 |
| 58.15 | 1.586 | 17 |
| 67.98 | 1.379 | 16 |



Entry 2:
AlSi: computed powder diffractogram (Cu Kα X-rays), based on the GGA-PBE geometry in the Materials Project.
Peak positions follow from Bragg's law for the DFT cell and can differ from measured ones.

Atomic structure:
```
data_AlSi
_cell_length_a 3.152
_cell_length_b 3.152
_cell_length_c 3.152
_cell_angle_alpha 90.00
_cell_angle_beta 90.00
_cell_angle_gamma 90.00
_space_group_name_H-M_alt 'P 1'
_space_group_IT_number 1
_space_group_name_Hall 'P 1'
loop_
_atom_site_label
_atom_site_fract_x
_atom_site_fract_y
_atom_site_fract_z
_atom_site_occupancy
Al1 0.000 0.000 0.000 1
Si1 0.500 0.500 0.500 1
```

Peak list (3 most intense, 2θ = 10–80°, by intensity)
| 2theta | d [Å] | I_rel |
| --- | --- | --- |
| 40.47 | 2.229 | 100 |
| 73.61 | 1.287 | 34 |
| 58.57 | 1.576 | 16 |



Entry 3:
GdHfF7: computed powder diffractogram (Cu Kα X-rays), based on the GGA-PBE geometry in the Materials Project.
Peak positions follow from Bragg's law for the DFT cell and can differ from measured ones.

Atomic structure:
```
data_GdHfF7
_cell_length_a 6.175
_cell_length_b 5.750
_cell_length_c 8.350
_cell_angle_alpha 90.00
_cell_angle_beta 101.93
_cell_angle_gamma 90.00
_space_group_name_H-M_alt 'P 1'
_space_group_IT_number 1
_space_group_name_Hall 'P 1'
loop_
_atom_site_label
_atom_site_fract_x
_atom_site_fract_y
_atom_site_fract_z
_atom_site_occupancy
Gd1 0.156 0.000 0.186 1
Gd2 0.844 0.500 0.814 1
Hf1 0.312 0.990 0.724 1
Hf2 0.688 0.490 0.276 1
F1 0.050 0.200 0.713 1
F2 0.050 0.313 0.025 1
F3 0.124 0.701 0.718 1
F4 0.257 0.993 0.479 1
F5 0.360 0.986 0.970 1
F6 0.429 0.276 0.267 1
F7 0.468 0.752 0.261 1
F8 0.532 0.252 0.739 1
F9 0.571 0.776 0.733 1
F10 0.640 0.486 0.030 1
F11 0.743 0.493 0.521 1
F12 0.876 0.201 0.282 1
F13 0.950 0.700 0.287 1
F14 0.950 0.813 0.975 1
```

Peak list (10 most intense, 2θ = 10–80°, by intensity)
| 2theta | d [Å] | I_rel |
| --- | --- | --- |
| 21.33 | 4.165 | 100 |
| 21.76 | 4.085 | 40 |
| 28.34 | 3.149 | 30 |
| 25.35 | 3.514 | 17 |
| 31.11 | 2.875 | 15 |
| 46.92 | 1.936 | 15 |
| 43.28 | 2.091 | 15 |
| 22.54 | 3.945 | 14 |
| 49.93 | 1.826 | 13 |
| 26.77 | 3.330 | 13 |



Entry 4:
Cd3B2O6: computed powder diffractogram (Cu Kα X-rays), based on the GGA-PBE geometry in the Materials Project.
Peak positions follow from Bragg's law for the DFT cell and can differ from measured ones.

Atomic structure:
```
data_Cd3B2O6
_cell_length_a 6.222
_cell_length_b 6.264
_cell_length_c 7.556
_cell_angle_alpha 76.41
_cell_angle_beta 80.64
_cell_angle_gamma 82.24
_space_group_name_H-M_alt 'P 1'
_space_group_IT_number 1
_space_group_name_Hall 'P 1'
loop_
_atom_site_label
_atom_site_fract_x
_atom_site_fract_y
_atom_site_fract_z
_atom_site_occupancy
Cd1 0.126 0.239 0.498 1
Cd2 0.229 0.065 0.059 1
Cd3 0.367 0.557 0.794 1
Cd4 0.633 0.443 0.206 1
Cd5 0.771 0.935 0.941 1
Cd6 0.874 0.761 0.502 1
B1 0.120 0.565 0.139 1
B2 0.412 0.833 0.373 1
B3 0.588 0.167 0.627 1
B4 0.880 0.435 0.861 1
O1 0.036 0.470 0.706 1
O2 0.109 0.755 0.997 1
O3 0.193 0.926 0.381 1
O4 0.293 0.404 0.115 1
O5 0.477 0.171 0.802 1
O6 0.489 0.255 0.473 1
O7 0.511 0.745 0.527 1
O8 0.523 0.829 0.198 1
O9 0.707 0.596 0.885 1
O10 0.807 0.074 0.619 1
O11 0.891 0.245 0.003 1
O12 0.964 0.530 0.294 1
```

Peak list (10 most intense, 2θ = 10–80°, by intensity)
| 2theta | d [Å] | I_rel |
| --- | --- | --- |
| 30.19 | 2.960 | 100 |
| 29.37 | 3.041 | 89 |
| 25.72 | 3.464 | 74 |
| 27.07 | 3.294 | 69 |
| 31.32 | 2.856 | 58 |
| 21.68 | 4.099 | 55 |
| 31.45 | 2.845 | 53 |
| 38.07 | 2.364 | 45 |
| 48.51 | 1.876 | 43 |
| 31.62 | 2.829 | 42 |



Entry 5:
Mg6Si5: computed powder diffractogram (Cu Kα X-rays), based on the GGA-PBE geometry in the Materials Project.
Peak positions follow from Bragg's law for the DFT cell and can differ from measured ones.

Atomic structure:
```
data_Mg6Si5
_cell_length_a 7.042
_cell_length_b 4.134
_cell_length_c 14.680
_cell_angle_alpha 90.00
_cell_angle_beta 98.82
_cell_angle_gamma 90.00
_space_group_name_H-M_alt 'P 1'
_space_group_IT_number 1
_space_group_name_Hall 'P 1'
loop_
_atom_site_label
_atom_site_fract_x
_atom_site_fract_y
_atom_site_fract_z
_atom_site_occupancy
Mg1 0.000 0.000 0.000 1
Mg2 0.024 0.500 0.191 1
Mg3 0.144 0.500 0.677 1
Mg4 0.221 0.000 0.325 1
Mg5 0.277 0.000 0.532 1
Mg6 0.339 0.500 0.041 1
Mg7 0.406 0.000 0.883 1
Mg8 0.542 0.500 0.263 1
Mg9 0.640 0.000 0.431 1
Mg10 0.668 0.500 0.596 1
Mg11 0.881 0.000 0.769 1
Mg12 0.971 0.500 0.430 1
Si1 0.123 0.500 0.868 1
Si2 0.299 0.000 0.153 1
Si3 0.381 0.500 0.429 1
Si4 0.469 0.000 0.697 1
Si5 0.549 0.500 0.776 1
Si6 0.643 0.000 0.130 1
Si7 0.729 0.500 0.051 1
Si8 0.798 0.500 0.901 1
Si9 0.833 0.000 0.286 1
Si10 0.926 0.000 0.578 1
```

Peak list (10 most intense, 2θ = 10–80°, by intensity)
| 2theta | d [Å] | I_rel |
| --- | --- | --- |
| 33.91 | 2.644 | 100 |
| 43.80 | 2.067 | 94 |
| 33.51 | 2.674 | 79 |
| 36.58 | 2.457 | 59 |
| 37.33 | 2.409 | 49 |
| 37.89 | 2.375 | 43 |
| 32.41 | 2.762 | 36 |
| 36.77 | 2.444 | 35 |
| 46.20 | 1.965 | 34 |
| 41.70 | 2.166 | 28 |



Entry 6:
Li2BiS2: computed powder diffractogram (Cu Kα X-rays), based on the GGA-PBE geometry in the Materials Project.
Peak positions follow from Bragg's law for the DFT cell and can differ from measured ones.

Atomic structure:
```
data_Li2BiS2
_cell_length_a 7.322
_cell_length_b 7.322
_cell_length_c 7.322
_cell_angle_alpha 148.19
_cell_angle_beta 147.97
_cell_angle_gamma 45.77
_space_group_name_H-M_alt 'P 1'
_space_group_IT_number 1
_space_group_name_Hall 'P 1'
loop_
_atom_site_label
_atom_site_fract_x
_atom_site_fract_y
_atom_site_fract_z
_atom_site_occupancy
Li1 0.240 0.240 0.000 1
Li2 0.760 0.760 0.000 1
Bi1 0.500 0.500 0.000 1
S1 0.352 0.852 0.500 1
S2 0.648 0.148 0.500 1
```

Peak list (10 most intense, 2θ = 10–80°, by intensity)
| 2theta | d [Å] | I_rel |
| --- | --- | --- |
| 22.98 | 3.871 | 100 |
| 13.12 | 6.746 | 84 |
| 29.84 | 2.994 | 64 |
| 34.18 | 2.623 | 56 |
| 41.51 | 2.176 | 52 |
| 23.12 | 3.846 | 42 |
| 40.15 | 2.246 | 28 |
| 51.29 | 1.781 | 23 |
| 54.82 | 1.675 | 23 |
| 29.73 | 3.006 | 18 |